Calculated powder XRD pattern
Compound: Gd5Si4
Radiation: Cu Kα
Structure: a cell relaxed with PBE
Kinematic intensities with the Lorentz-polarization factor, no thermal factor.

Main lines, low angle first (2θ from 10° to 80°):
- (2 1 1), 26.96°, I 50.9
- (2 0 3), 29.82°, I 52.0
- (1 -2 3), 31.69°, I 60.2
- (2 1 -3), 32.03°, I 100.0
- (0 2 4), 33.52°, I 72.7
- (2 2 1), 33.70°, I 45.9
- (1 2 -4), 35.63°, I 30.9
- (-1 3 1), 37.30°, I 33.2
- (3 -1 0), 37.58°, I 33.0
- (3 -3 4), 56.85°, I 29.8

```
36
Lattice="7.5487 0.0000 0.0000 0.0040 7.7478 0.0000 0.0148 0.0021 14.7768" Properties=species:S:1:pos:R:3 pbc="T T T"
Gd 0.0000 0.0000 0.0000
Gd 0.0118 0.0023 11.0024
Gd 0.3346 6.4356 5.5109
Gd 1.1515 3.9112 0.3423
Gd 1.1654 3.9068 10.6663
Gd 1.6664 1.0588 7.7292
Gd 1.6692 1.0584 3.2792
Gd 2.4951 6.2874 12.8915
Gd 2.8225 4.9640 3.6059
Gd 2.8220 4.9662 7.3859
Gd 3.7783 1.0929 10.9903
Gd 3.7908 1.0925 14.7728
Gd 4.1085 2.4075 5.5080
Gd 4.9236 4.9271 0.3365
Gd 4.9388 4.9321 10.6688
Gd 5.4417 0.0370 7.7248
Gd 5.4426 0.0367 3.2830
Gd 6.2730 2.5551 12.8885
Gd 6.5995 3.8743 7.3846
Gd 6.5980 3.8789 3.6045
Si 0.3531 6.1468 8.5966
Si 0.3592 6.1586 2.4141
Si 1.2775 3.2775 5.5031
Si 1.5625 1.6987 12.8892
Si 2.4708 6.5651 1.2011
Si 2.4823 6.5615 9.7984
Si 3.2386 7.3270 5.4954
Si 3.3660 3.4524 12.8862
Si 4.1307 2.6853 2.4100
Si 4.1355 2.6954 8.5892
Si 5.0508 5.5619 5.5018
Si 5.3354 7.1495 12.8940
Si 6.2402 2.2712 1.2033
Si 6.2509 2.2759 9.8008
Si 7.0125 1.5151 5.4962
Si 7.1421 5.3883 12.8885
```